Tb3Dy2Sc6: computed powder diffractogram (copper Kα), based on a PBE-relaxed structure.
Lines closer than 0.1° are merged.

Largest 12 diffraction maxima, low angle first, 10° ≤ 2θ ≤ 80°:
(0 0 15), 14.75°, I = 29.8
(0 0 18), 17.73°, I = 18.3
(1 0 4), 30.53°, I = 16.1
(1 0 7), 31.07°, I = 15.0
(0 1 11), 32.22°, I = 100.0
(0 0 33), 32.82°, I = 31.4
(1 0 22), 37.55°, I = 65.4
(1 1 0), 53.76°, I = 23.0
(0 1 44), 54.55°, I = 21.8
(2 0 11), 64.07°, I = 13.3
(1 1 33), 64.43°, I = 26.0
(1 0 55), 65.14°, I = 12.3

Crystal structure
Lattice parameters (Å, degrees): 3.4105 3.4105 90.0585 90.00 90.00 120.00
Space group R-3m (No. 166, hexagonal axes)
Asymmetric unit:
Tb: 0.0000 0.0000 0.0000 x3
Tb: 0.0000 0.0000 0.2724 x6
Dy: 0.0000 0.0000 0.4551 x6
Sc: 0.0000 0.0000 0.0914 x6
Sc: 0.0000 0.0000 0.1808 x6
Sc: 0.0000 0.0000 0.3638 x6